Entry 1:
Theoretical XRD peak list
Compound: Na3La
Radiation: a wavelength of 1.5418 Å
Structure: a structure optimized by DFT (PBE)
Intensities are scaled so that the largest is 100.

Structure:
```
data_Na3La
_space_group_name_H-M_alt 'F m -3 m'
_space_group_IT_number 225
_space_group_name_Hall '-F 4 2 3'
_cell_length_a 8.3621
_cell_length_b 8.3621
_cell_length_c 8.3621
_cell_angle_alpha 90.00
_cell_angle_beta 90.00
_cell_angle_gamma 90.00
loop_
_atom_site_label
_atom_site_type_symbol
_atom_site_fract_x
_atom_site_fract_y
_atom_site_fract_z
_atom_site_occupancy
Na1 Na 0.0000 0.0000 0.0000 1
Na2 Na 0.2500 0.2500 0.2500 1
La1 La 0.0000 0.0000 0.5000 1
```

Top 10 peaks for 5 to 70 degrees two-theta, low angle first:
2theta, intensity, hkl
18.38, 63, 1 1 1
21.25, 34, 2 0 0
30.23, 100, 2 2 0
35.61, 36, 3 1 1
43.28, 18, 4 0 0
47.39, 16, 3 3 1
48.70, 15, 4 2 0
53.70, 38, 4 2 2
57.25, 13, 5 1 1
66.11, 12, 5 3 1



Entry 2:
Theoretical XRD peak list
Compound: Tb3ReO7
Radiation: a wavelength of 1.5418 Å
Structure: a structure optimized by DFT (PBE)
Intensities are scaled so that the largest is 100.

Structure:
```
data_Tb3ReO7
_space_group_name_H-M_alt 'C m c m'
_space_group_IT_number 63
_space_group_name_Hall '-C 2c 2'
_cell_length_a 10.6147
_cell_length_b 7.4436
_cell_length_c 7.4654
_cell_angle_alpha 90.00
_cell_angle_beta 90.00
_cell_angle_gamma 90.00
loop_
_atom_site_label
_atom_site_type_symbol
_atom_site_fract_x
_atom_site_fract_y
_atom_site_fract_z
_atom_site_occupancy
Tb1 Tb 0.0000 0.0000 0.0000 1
Tb2 Tb 0.2323 0.2872 0.2500 1
Re1 Re 0.0000 0.5000 0.0000 1
O1 O 0.0000 0.4502 0.2500 1
O2 O 0.1268 0.3036 0.5289 1
O3 O 0.1335 0.0213 0.2500 1
```

Top 10 peaks for 5 to 70 degrees two-theta, low angle first:
2theta, intensity, hkl
29.28, 100, 2 0 2
33.78, 13, 4 0 0
34.02, 24, 0 2 2
48.69, 27, 4 2 2
48.79, 9, 0 0 4
48.95, 5, 0 4 0
57.68, 12, 6 2 0
57.94, 15, 2 2 4
58.05, 10, 2 4 2
60.66, 5, 4 0 4



Entry 3:
Theoretical XRD peak list
Compound: Te3W2S
Radiation: a wavelength of 1.5418 Å
Structure: a structure optimized by DFT (PBE)
Intensities are scaled so that the largest is 100.

Structure:
```
data_Te3W2S
_space_group_name_H-M_alt 'P 3 m 1'
_space_group_IT_number 156
_cell_length_a 3.4558
_cell_length_b 3.4558
_cell_length_c 39.2260
_cell_angle_alpha 90.00
_cell_angle_beta 90.00
_cell_angle_gamma 120.00
loop_
_space_group_symop_operation_xyz
'x,y,z'
'-y,x-y,z'
'-x+y,-x,z'
'-y,-x,z'
'-x+y,y,z'
'x,x-y,z'
loop_
_atom_site_label
_atom_site_type_symbol
_atom_site_fract_x
_atom_site_fract_y
_atom_site_fract_z
_atom_site_occupancy
Te1 Te 0.0000 0.0000 0.0000 1
Te2 Te 0.0000 0.0000 0.0948 1
Te3 Te 0.0000 0.0000 0.3752 1
Te4 Te 0.0000 0.0000 0.4700 1
Te5 Te 0.6667 0.3333 0.5640 1
Te6 Te 0.6667 0.3333 0.6588 1
W1 W 0.0000 0.0000 0.2350 1
W2 W 0.0000 0.0000 0.6114 1
W3 W 0.6667 0.3333 0.0474 1
W4 W 0.6667 0.3333 0.4226 1
S1 S 0.6667 0.3333 0.1971 1
S2 S 0.6667 0.3333 0.2730 1
```

Top 10 peaks for 5 to 70 degrees two-theta, low angle first:
2theta, intensity, hkl
6.76, 45, 0 0 3
11.28, 100, 0 0 5
13.54, 18, 0 0 6
29.87, 43, 1 0 0
32.01, 14, 1 0 5
35.13, 93, 0 1 8
42.55, 50, 1 0 13
44.28, 15, 1 0 14
53.00, 31, 1 1 0
65.18, 15, 2 0 8



Entry 4:
Theoretical XRD peak list
Compound: Ho2CuTe2S2O14
Radiation: a wavelength of 1.5418 Å
Structure: a structure optimized by DFT (PBE)
Intensities are scaled so that the largest is 100.

Structure:
```
data_Ho2CuTe2S2O14
_space_group_name_H-M_alt 'P -1'
_space_group_IT_number 2
_cell_length_a 5.2005
_cell_length_b 7.9387
_cell_length_c 8.1923
_cell_angle_alpha 62.34
_cell_angle_beta 74.17
_cell_angle_gamma 85.30
loop_
_space_group_symop_operation_xyz
'x,y,z'
'-x,-y,-z'
loop_
_atom_site_label
_atom_site_type_symbol
_atom_site_fract_x
_atom_site_fract_y
_atom_site_fract_z
_atom_site_occupancy
Ho1 Ho 0.0736 0.2516 0.0179 1
Cu1 Cu 0.0000 0.0000 0.5000 1
Te1 Te 0.4893 0.7280 0.6554 1
S1 S 0.2517 0.7479 0.2505 1
O1 O 0.1358 0.5868 0.2417 1
O2 O 0.1407 0.7480 0.4357 1
O3 O 0.1757 0.9225 0.0920 1
O4 O 0.2487 0.5608 0.8918 1
O5 O 0.2493 0.9278 0.6588 1
O6 O 0.2708 0.1876 0.2537 1
O7 O 0.4522 0.2638 0.7862 1
```

Top 10 peaks for 5 to 70 degrees two-theta, low angle first:
2theta, intensity, hkl
13.12, 60, 0 1 1
22.55, 40, 0 1 2
24.50, 60, 1 0 -1
24.72, 70, 1 1 2
25.38, 100, 0 2 0
26.95, 44, 1 0 2
27.47, 39, 1 2 1
30.08, 69, -1 2 1
35.02, 72, 1 0 -2
35.67, 36, 2 1 1



Entry 5:
Theoretical XRD peak list
Compound: HfSi2
Radiation: a wavelength of 1.5418 Å
Structure: a structure optimized by DFT (PBE)
Intensities are scaled so that the largest is 100.

Structure:
```
data_HfSi2
_space_group_name_H-M_alt 'C m c m'
_space_group_IT_number 63
_space_group_name_Hall '-C 2c 2'
_cell_length_a 3.6985
_cell_length_b 14.5334
_cell_length_c 3.6595
_cell_angle_alpha 90.00
_cell_angle_beta 90.00
_cell_angle_gamma 90.00
loop_
_atom_site_label
_atom_site_type_symbol
_atom_site_fract_x
_atom_site_fract_y
_atom_site_fract_z
_atom_site_occupancy
Hf1 Hf 0.0000 0.1048 0.2500 1
Si1 Si 0.0000 0.2503 0.7500 1
Si2 Si 0.0000 0.4455 0.2500 1
```

Top 10 peaks for 5 to 70 degrees two-theta, low angle first:
2theta, intensity, hkl
24.50, 26, 0 4 0
24.84, 44, 1 1 0
27.29, 65, 0 2 1
35.04, 23, 1 1 1
37.12, 17, 0 6 0
39.31, 100, 1 3 1
39.43, 31, 1 5 0
44.87, 17, 0 6 1
56.51, 20, 0 8 1
57.24, 17, 2 2 1